Ho5Sb2Au: simulated X-ray powder pattern (CuKα), based on a DFT-relaxed cell (PBE, Alexandria).
Intensities are scaled so that the largest is 100.

The 10 most intense peaks (2θ from 10° to 90°), sorted by position:
d [Å]  I_rel
3.684  28
2.910  85
2.692  100
2.523  21
2.334  24
2.284  16
2.191  16
1.906  19
1.821  23
1.635  23

Cell and atoms:
```
16
Lattice="2.9103 -5.9983 0.0000 2.9103 5.9983 0.0000 0.0000 0.0000 14.0027" Properties=species:S:1:pos:R:3 pbc="T T T"
Ho 2.9103 5.2438 8.4930
Ho 2.9103 5.2438 12.5110
Ho 2.9103 1.7338 3.5007
Ho 2.9103 1.4425 7.9295
Ho 2.9103 1.4425 13.0745
Ho 2.9103 -1.4425 0.9282
Ho 2.9103 -1.4425 6.0731
Ho 2.9103 -1.7338 10.5020
Ho 2.9103 -5.2438 1.4916
Ho 2.9103 -5.2438 5.5097
Sb 2.9103 3.6773 1.2411
Sb 2.9103 3.6773 5.7602
Sb 2.9103 -3.6773 8.2425
Sb 2.9103 -3.6773 12.7615
Au 2.9103 3.1365 10.5020
Au 2.9103 -3.1365 3.5007
```

ErPu2MnS5: simulated X-ray powder pattern (CuKα), based on a DFT-relaxed cell (PBE, Alexandria).
Intensities are scaled so that the largest is 100.

The 10 most intense peaks (2θ from 10° to 90°), sorted by position:
d [Å]  I_rel
3.745  34
3.570  72
3.380  45
3.169  30
3.148  46
2.722  100
2.669  29
2.304  46
1.924  26
1.898  44

Cell and atoms:
```
18
Lattice="1.9233 -8.2163 0.0000 1.9233 8.2163 0.0000 0.0000 0.0000 11.8899" Properties=species:S:1:pos:R:3 pbc="T T T"
Er 1.9233 4.9455 5.9450
Er 1.9233 -4.9455 0.0000
Pu 1.9233 6.3859 2.1887
Pu 1.9233 6.0880 9.4932
Pu 1.9233 -6.0880 3.5483
Pu 1.9233 -6.3859 8.1336
Mn 1.9233 0.0969 11.5445
Mn 1.9233 -0.0969 5.5995
S 1.9233 7.4819 6.7677
S 1.9233 3.4707 1.8837
S 1.9233 3.0881 10.0143
S 1.9233 2.2745 5.9200
S 1.9233 0.0649 3.2977
S 1.9233 -0.0649 9.2427
S 1.9233 -2.2745 11.8649
S 1.9233 -3.0881 4.0693
S 1.9233 -3.4707 7.8287
S 1.9233 -7.4819 0.8228
```

NaNdF4: simulated X-ray powder pattern (CuKα), based on a DFT-relaxed cell (PBE, Alexandria).
Intensities are scaled so that the largest is 100.

The 10 most intense peaks (2θ from 10° to 90°), sorted by position:
d [Å]  I_rel
6.123  19
5.333  68
3.083  39
3.065  100
2.175  29
2.169  34
1.777  32
1.774  28
1.771  12
1.766  13

Cell and atoms:
```
18
Lattice="6.1716 0.0000 0.0000 3.0630 6.5043 0.0000 3.0707 2.1994 6.1246" Properties=species:S:1:pos:R:3 pbc="T T T"
Na 0.0000 0.0000 0.0000
Na 2.9705 4.1768 2.9781
Na 6.1071 3.2816 1.3377
Nd 6.1099 5.0530 5.0212
Nd 6.1158 7.1832 1.9163
Nd 9.1996 7.5831 4.4279
F 1.4951 1.7120 0.3645
F 4.4931 5.9753 3.3483
F 6.7973 7.3125 4.2778
F 3.7310 2.9085 1.2186
F 5.1179 3.2094 3.8748
F 5.1512 5.5298 0.5146
F 6.9340 5.0373 2.7269
F 7.0768 2.9132 5.7523
F 8.4836 5.3364 4.9907
F 5.4176 0.7975 2.1296
F 10.8885 6.7438 5.9443
F 7.8277 2.1858 3.1229
```

Er3CoTe: simulated X-ray powder pattern (CuKα), based on a DFT-relaxed cell (PBE, Alexandria).
Intensities are scaled so that the largest is 100.

The 10 most intense peaks (2θ from 10° to 90°), sorted by position:
d [Å]  I_rel
3.052  100
2.792  22
2.780  76
2.748  31
2.578  32
2.521  74
2.316  24
2.265  32
1.954  32
1.598  18

Cell and atoms:
```
10
Lattice="8.0859 0.0000 0.0000 0.0000 3.9075 0.0000 -2.4383 0.0000 7.9814" Properties=species:S:1:pos:R:3 pbc="T T T"
Er -0.1011 0.9769 1.9718
Er 0.1939 0.9769 7.4077
Er 1.0339 2.9306 4.7423
Er 4.6137 0.9769 3.2391
Er 5.4538 2.9306 0.5737
Er 5.7488 2.9306 6.0096
Co -0.9286 0.9769 4.6514
Co 6.5762 2.9306 3.3300
Te 2.4996 2.9306 1.9159
Te 3.1481 0.9769 6.0655
```

LaDy5P6: simulated X-ray powder pattern (CuKα), based on a DFT-relaxed cell (PBE, Alexandria).
Intensities are scaled so that the largest is 100.

The 10 most intense peaks (2θ from 10° to 90°), sorted by position:
d [Å]  I_rel
3.310  85
2.867  100
2.027  73
1.729  42
1.655  26
1.433  12
1.315  17
1.282  33
1.170  25
1.103  13

Cell and atoms:
```
12
Lattice="3.5109 -6.0808 0.0000 3.5109 6.0808 0.0000 -2.3408 0.0000 6.6197" Properties=species:S:1:pos:R:3 pbc="T T T"
La 0.0000 0.0000 0.0000
Dy 2.3406 4.0685 3.3098
Dy 3.5109 2.0318 0.0000
Dy 2.3406 0.0000 3.3098
Dy 3.5109 -2.0318 0.0000
Dy 2.3406 -4.0685 3.3098
P 1.1967 2.0719 1.6868
P 0.0521 0.0000 4.9381
P 1.1967 -2.0719 1.6868
P 3.4844 2.0719 4.9329
P 4.6290 0.0000 1.6815
P 3.4844 -2.0719 4.9329
```

Cd2InHg: simulated X-ray powder pattern (CuKα), based on a DFT-relaxed cell (PBE, Alexandria).
Intensities are scaled so that the largest is 100.

The 10 most intense peaks (2θ from 10° to 90°), sorted by position:
d [Å]  I_rel
2.835  40
2.614  100
2.579  42
2.415  74
2.110  21
1.665  33
1.539  20
1.418  13
1.404  14
1.399  36

Cell and atoms:
```
4
Lattice="1.6649 0.9612 10.3146 -1.6649 0.9612 10.3146 0.0000 -1.9224 10.3146" Properties=species:S:1:pos:R:3 pbc="T T T"
Cd 0.0000 0.0000 0.0000
Cd 0.0000 0.0000 5.2918
In 0.0000 0.0000 23.2713
Hg 0.0000 0.0000 18.1173
```

CaTb4Dy5: simulated X-ray powder pattern (CuKα), based on a DFT-relaxed cell (PBE, Alexandria).
Intensities are scaled so that the largest is 100.

The 10 most intense peaks (2θ from 10° to 90°), sorted by position:
d [Å]  I_rel
2.925  100
2.543  17
2.528  35
1.793  22
1.788  12
1.531  11
1.525  28
1.462  12
1.163  9
1.160  6

Cell and atoms:
```
10
Lattice="3.5752 0.0000 0.0000 0.0000 3.5752 0.0000 0.0000 0.0000 25.4214" Properties=species:S:1:pos:R:3 pbc="T T T"
Ca 0.0000 0.0000 0.0000
Tb 0.0000 0.0000 5.1977
Tb 0.0000 0.0000 10.2064
Tb 0.0000 0.0000 15.2150
Tb 0.0000 0.0000 20.2237
Dy 1.7876 1.7876 2.8023
Dy 1.7876 1.7876 7.7265
Dy 1.7876 1.7876 12.7107
Dy 1.7876 1.7876 17.6950
Dy 1.7876 1.7876 22.6191
```

La2PmDyTl2: simulated X-ray powder pattern (CuKα), based on a DFT-relaxed cell (PBE, Alexandria).
Intensities are scaled so that the largest is 100.

The 10 most intense peaks (2θ from 10° to 90°), sorted by position:
d [Å]  I_rel
3.094  30
2.898  90
2.871  100
2.791  88
2.656  54
2.590  76
2.456  25
2.081  23
1.986  21
1.782  22

Cell and atoms:
```
12
Lattice="5.1803 0.0000 0.0000 0.0000 10.3477 0.0000 0.0000 0.0000 6.9948" Properties=species:S:1:pos:R:3 pbc="T T T"
La 0.0000 0.6335 0.0000
La 0.0000 9.7143 3.4974
La 2.5902 1.8212 1.5902
La 2.5902 8.5266 5.0875
Pm 2.5902 4.7154 6.1038
Pm 2.5902 5.6324 2.6064
Dy 0.0000 3.1676 4.0866
Dy 0.0000 7.1801 0.5892
Tl 0.0000 3.9985 0.9519
Tl 0.0000 6.3493 4.4493
Tl 2.5902 1.5312 4.9632
Tl 2.5902 8.8165 1.4658
```